Tl7HgSb2: simulated X-ray diffraction stick pattern (CuKα), based on a structure optimized by DFT (GGA-PBE).

The 10 most intense peaks (5° ≤ 2θ ≤ 70°), in order of falling intensity:
- 2θ = 34.54°, I = 1000
- 2θ = 30.28°, I = 988
- 2θ = 30.55°, I = 919
- 2θ = 32.41°, I = 918
- 2θ = 30.66°, I = 769
- 2θ = 29.81°, I = 663
- 2θ = 33.72°, I = 651
- 2θ = 36.44°, I = 469
- 2θ = 49.79°, I = 364
- 2θ = 28.42°, I = 296

Atomic structure:
Unit cell a=9.520 b=9.520 c=11.158 alpha=114.13 beta=114.13 gamma=44.28
Fractional positions:
Tl1 0.067 0.933 0.750
Tl2 0.080 0.669 0.966
Tl3 0.195 0.615 0.425
Tl4 0.225 0.392 0.648
Tl5 0.331 0.920 0.534
Tl6 0.385 0.805 0.075
Tl7 0.392 0.225 0.148
Tl8 0.608 0.775 0.852
Tl9 0.615 0.195 0.925
Tl10 0.669 0.080 0.466
Tl11 0.775 0.608 0.352
Tl12 0.805 0.385 0.575
Tl13 0.920 0.331 0.034
Tl14 0.933 0.067 0.250
Hg1 0.454 0.546 0.250
Hg2 0.546 0.454 0.750
Sb1 0.177 0.236 0.836
Sb2 0.236 0.177 0.336
Sb3 0.764 0.823 0.664
Sb4 0.823 0.764 0.164